The following is a simulated X-ray diffraction stick pattern of LiMg6BiO8. It was derived from a structure optimized by DFT (GGA-PBE), using λ = 1.5418 Å (Cu Kα).

The 10 most intense peaks (10 to 90 degrees two-theta), sorted by position:
- d = 4.429 Å, 20.05 deg, I = 87, (1 0 0)
- d = 3.961 Å, 22.44 deg, I = 100, (1 0 1)
- d = 3.131 Å, 28.51 deg, I = 75, (1 0 2)
- d = 2.952 Å, 30.28 deg, I = 44, (0 0 3)
- d = 2.556 Å, 35.10 deg, I = 45, (1 1 2)
- d = 2.455 Å, 36.61 deg, I = 31, (1 0 3)
- d = 2.214 Å, 40.75 deg, I = 99, (2 0 0)
- d = 1.980 Å, 45.82 deg, I = 43, (2 1 0)
- d = 1.808 Å, 50.48 deg, I = 33, (2 1 2)
- d = 1.566 Å, 59.00 deg, I = 60, (2 2 0)

Structural model:
```
data_LiMg6BiO8
_chemical_formula_sum 'Li1 Mg6 Bi1 O8'
_cell_length_a 4.430
_cell_length_b 4.430
_cell_length_c 8.846
_cell_angle_alpha 90.00
_cell_angle_beta 90.00
_cell_angle_gamma 90.00
_symmetry_space_group_name_H-M 'P 4/m m m'
_symmetry_Int_Tables_number 123
_symmetry_space_group_name_Hall '-P 4 2'
loop_
_atom_site_label
_atom_site_type_symbol
_atom_site_fract_x
_atom_site_fract_y
_atom_site_fract_z
_atom_site_occupancy
Li1 Li 0.000 0.000 0.000 1
Mg1 Mg 0.000 0.000 0.500 1
Mg2 Mg 0.000 0.500 0.262 1
Mg3 Mg 0.500 0.500 0.500 1
Bi1 Bi 0.500 0.500 0.000 1
O1 O 0.000 0.000 0.262 1
O2 O 0.000 0.500 0.000 1
O3 O 0.000 0.500 0.500 1
O4 O 0.500 0.500 0.269 1
```